Entry 1:
# Ca2Zn5Pt3
Theoretical powder X-ray diffraction pattern, a wavelength of 1.5418 Å. Input: a crystal structure in Alexandria, relaxed with PBE.
Intensities are scaled so that the largest is 100.

Cell and atoms:
Unit cell a=8.7645 b=8.7645 c=5.6729 alpha=108.76 beta=108.76 gamma=97.06
Sites, in units of the cell vectors:
Ca (0.0657, 0.3700, 0.2177)
Ca (0.3700, 0.0657, 0.7177)
Ca (0.6300, 0.9343, 0.2823)
Ca (0.9343, 0.6300, 0.7823)
Zn (0.9999, 0.0001, 0.2500)
Zn (0.0001, 0.9999, 0.7500)
Zn (0.2367, 0.3964, 0.8174)
Zn (0.3025, 0.6975, 0.7500)
Zn (0.3025, 0.6975, 0.2500)
Zn (0.3964, 0.2367, 0.3174)
Zn (0.6036, 0.7633, 0.6826)
Zn (0.6975, 0.3025, 0.7500)
Zn (0.6975, 0.3025, 0.2500)
Zn (0.7633, 0.6036, 0.1826)
Pt (0.0636, 0.7550, 0.4097)
Pt (0.2450, 0.9364, 0.0903)
Pt (0.4999, 0.5001, 0.2500)
Pt (0.5001, 0.4999, 0.7500)
Pt (0.7550, 0.0636, 0.9097)
Pt (0.9364, 0.2450, 0.5903)

Top 10 peaks for 15° ≤ 2θ ≤ 90°, low angle first:
- 2θ 17.5, I = 100
- 2θ 22.1, I = 88
- 2θ 22.5, I = 73
- 2θ 24.5, I = 51
- 2θ 33.5, I = 54
- 2θ 33.7, I = 78
- 2θ 38.9, I = 50
- 2θ 42.1, I = 80
- 2θ 45.1, I = 53
- 2θ 48.0, I = 43


Entry 2:
# CaZnPt2
Theoretical powder X-ray diffraction pattern, a wavelength of 1.5418 Å. Input: a crystal structure in Alexandria, relaxed with PBE.
Intensities are scaled so that the largest is 100.

Cell and atoms:
Unit cell a=4.2403 b=4.2403 c=3.8533 alpha=90.00 beta=90.00 gamma=90.00
Sites, in units of the cell vectors:
Ca (0.0000, 0.0000, 0.0000)
Zn (0.5000, 0.5000, 0.0000)
Pt (0.0000, 0.5000, 0.5000)
Pt (0.5000, 0.0000, 0.5000)

Top 10 peaks for 15° ≤ 2θ ≤ 90°, low angle first:
- 2θ 23.1, I = 26
- 2θ 29.8, I = 28
- 2θ 38.0, I = 100
- 2θ 42.6, I = 36
- 2θ 47.2, I = 14
- 2θ 49.0, I = 15
- 2θ 61.9, I = 12
- 2θ 65.5, I = 20
- 2θ 75.0, I = 27
- 2θ 81.3, I = 11


Entry 3:
# Ca5PuSb5
Theoretical powder X-ray diffraction pattern, a wavelength of 1.5418 Å. Input: a crystal structure in Alexandria, relaxed with PBE.
Intensities are scaled so that the largest is 100.

Cell and atoms:
Unit cell a=7.9617 b=7.9617 c=9.0044 alpha=106.85 beta=106.85 gamma=46.18
Sites, in units of the cell vectors:
Ca (0.0000, 0.0000, 0.0000)
Ca (0.3128, 0.3128, 0.1754)
Ca (0.3182, 0.3182, 0.6411)
Ca (0.6818, 0.6818, 0.3589)
Ca (0.6872, 0.6872, 0.8246)
Pu (0.0000, 0.0000, 0.5000)
Sb (0.1488, 0.1488, 0.3256)
Sb (0.1596, 0.1596, 0.8275)
Sb (0.5000, 0.5000, 0.5000)
Sb (0.8404, 0.8404, 0.1725)
Sb (0.8512, 0.8512, 0.6744)

Top 10 peaks for 15° ≤ 2θ ≤ 90°, low angle first:
- 2θ 15.6, I = 86
- 2θ 18.8, I = 23
- 2θ 27.5, I = 100
- 2θ 27.7, I = 98
- 2θ 28.6, I = 88
- 2θ 38.9, I = 31
- 2θ 40.1, I = 100
- 2θ 40.3, I = 67
- 2θ 49.0, I = 32
- 2θ 49.9, I = 37


Entry 4:
# Ca5PuSb4
Theoretical powder X-ray diffraction pattern, a wavelength of 1.5418 Å. Input: a crystal structure in Alexandria, relaxed with PBE.
Intensities are scaled so that the largest is 100.

Cell and atoms:
Unit cell a=10.2616 b=10.2616 c=8.5198 alpha=114.48 beta=114.48 gamma=26.62
Sites, in units of the cell vectors:
Ca (0.0000, 0.0000, 0.0000)
Ca (0.3328, 0.3328, 0.1041)
Ca (0.3326, 0.3326, 0.5609)
Ca (0.6674, 0.6674, 0.4391)
Ca (0.6672, 0.6672, 0.8959)
Pu (0.0000, 0.0000, 0.5000)
Sb (0.2076, 0.2076, 0.7078)
Sb (0.5002, 0.5002, 0.2465)
Sb (0.4998, 0.4998, 0.7535)
Sb (0.7924, 0.7924, 0.2922)

Top 10 peaks for 15° ≤ 2θ ≤ 90°, low angle first:
- 2θ 19.7, I = 43
- 2θ 21.5, I = 39
- 2θ 26.8, I = 25
- 2θ 28.6, I = 100
- 2θ 29.3, I = 22
- 2θ 29.7, I = 25
- 2θ 36.9, I = 17
- 2θ 37.8, I = 76
- 2θ 38.1, I = 23
- 2θ 42.4, I = 16


Entry 5:
# CaTm2PuSe4
Theoretical powder X-ray diffraction pattern, a wavelength of 1.5418 Å. Input: a crystal structure in Alexandria, relaxed with PBE.
Intensities are scaled so that the largest is 100.

Cell and atoms:
Unit cell a=7.0853 b=7.0853 c=7.0853 alpha=131.90 beta=131.90 gamma=70.39
Sites, in units of the cell vectors:
Ca (0.0000, 0.0000, 0.0000)
Tm (0.5000, 0.5000, 0.0000)
Tm (0.7500, 0.2500, 0.5000)
Pu (0.2500, 0.7500, 0.5000)
Se (0.2528, 0.2528, 0.0000)
Se (0.5045, 0.0045, 0.5000)
Se (0.7472, 0.7472, 0.0000)
Se (0.9955, 0.4955, 0.5000)

Top 10 peaks for 15° ≤ 2θ ≤ 90°, low angle first:
- 2θ 17.2, I = 12
- 2θ 26.7, I = 19
- 2θ 30.9, I = 100
- 2θ 44.3, I = 74
- 2θ 55.0, I = 26
- 2θ 64.5, I = 8
- 2θ 73.1, I = 11
- 2θ 73.3, I = 22
- 2θ 81.5, I = 8
- 2θ 81.6, I = 17


Entry 6:
# CaPu2Zn2Si2
Theoretical powder X-ray diffraction pattern, a wavelength of 1.5418 Å. Input: a crystal structure in Alexandria, relaxed with PBE.
Intensities are scaled so that the largest is 100.

Cell and atoms:
Unit cell a=9.5216 b=9.5216 c=9.5216 alpha=24.38 beta=24.38 gamma=24.38
Sites, in units of the cell vectors:
Ca (0.0000, 0.0000, 0.0000)
Pu (0.1512, 0.1512, 0.1512)
Pu (0.8488, 0.8488, 0.8488)
Zn (0.4106, 0.4106, 0.4106)
Zn (0.5894, 0.5894, 0.5894)
Si (0.2558, 0.2558, 0.2558)
Si (0.7442, 0.7442, 0.7442)

Top 10 peaks for 15° ≤ 2θ ≤ 90°, low angle first:
- 2θ 19.2, I = 21
- 2θ 25.8, I = 21
- 2θ 28.7, I = 57
- 2θ 34.3, I = 100
- 2θ 41.7, I = 22
- 2θ 45.1, I = 67
- 2θ 46.2, I = 37
- 2θ 57.9, I = 22
- 2θ 61.1, I = 17
- 2θ 76.2, I = 20